# 1
Structure and simulated powder diffraction line list of Rb4Ho3TmSe8 (a cell relaxed with PBE; Cu Kα, 1.54184 Å).
No peak broadening, texture or thermal motion is included.

Top 10 peaks for 10° ≤ 2θ ≤ 80°, by angle:
11.1 deg, I = 33
28.6 deg, I = 100
36.0 deg, I = 13
38.9 deg, I = 34
42.9 deg, I = 36
52.4 deg, I = 18
59.3 deg, I = 10
64.2 deg, I = 10
69.9 deg, I = 15
75.9 deg, I = 9

Atomic structure:
a = 9.355 Å, b = 9.355 Å, c = 9.355 Å
α = 53.58°, β = 53.58°, γ = 53.58°
Sites, in units of the cell vectors:
Rb (0.000, 0.000, 0.000)
Rb (0.000, 0.500, 0.500)
Rb (0.500, 0.000, 0.500)
Rb (0.500, 0.500, 0.000)
Ho (0.000, 0.000, 0.500)
Ho (0.000, 0.500, 0.000)
Ho (0.500, 0.000, 0.000)
Tm (0.500, 0.500, 0.500)
Se (0.232, 0.232, 0.232)
Se (0.233, 0.730, 0.730)
Se (0.270, 0.270, 0.767)
Se (0.270, 0.767, 0.270)
Se (0.730, 0.233, 0.730)
Se (0.730, 0.730, 0.233)
Se (0.767, 0.270, 0.270)
Se (0.768, 0.768, 0.768)

---

# 2
Structure and simulated powder diffraction line list of Mn3CrCl8 (a cell relaxed with PBE; Cu Kα, 1.54184 Å).
No peak broadening, texture or thermal motion is included.

Top 10 peaks for 10° ≤ 2θ ≤ 80°, by angle:
14.7 deg, I = 62
19.0 deg, I = 63
28.3 deg, I = 21
33.5 deg, I = 48
34.5 deg, I = 100
48.8 deg, I = 58
49.1 deg, I = 16
50.2 deg, I = 15
60.7 deg, I = 14
61.6 deg, I = 13

Atomic structure:
a = 6.475 Å, b = 6.475 Å, c = 7.422 Å
α = 90.00°, β = 90.00°, γ = 111.64°
Sites, in units of the cell vectors:
Mn (0.000, 0.000, 0.000)
Mn (0.000, 0.500, 0.753)
Mn (0.500, 0.000, 0.247)
Cr (0.000, 0.000, 0.500)
Cl (0.225, 0.263, 0.752)
Cl (0.225, 0.775, 0.500)
Cl (0.234, 0.766, 0.000)
Cl (0.263, 0.225, 0.248)
Cl (0.737, 0.775, 0.248)
Cl (0.766, 0.234, 0.000)
Cl (0.775, 0.225, 0.500)
Cl (0.775, 0.737, 0.752)

---

# 3
Structure and simulated powder diffraction line list of Pr3Sb2Pb (a cell relaxed with PBE; Cu Kα, 1.54184 Å).
No peak broadening, texture or thermal motion is included.

Top 10 peaks for 10° ≤ 2θ ≤ 80°, by angle:
27.6 deg, I = 100
38.9 deg, I = 13
39.4 deg, I = 52
40.0 deg, I = 12
48.3 deg, I = 14
49.3 deg, I = 14
64.4 deg, I = 12
64.5 deg, I = 12
70.7 deg, I = 9
72.3 deg, I = 9

Atomic structure:
a = 4.506 Å, b = 6.477 Å, c = 13.898 Å
α = 90.00°, β = 90.00°, γ = 90.00°
Sites, in units of the cell vectors:
Pr (0.000, 0.000, 0.000)
Pr (0.000, 0.000, 0.327)
Pr (0.000, 0.000, 0.673)
Pr (0.500, 0.500, 0.173)
Pr (0.500, 0.500, 0.500)
Pr (0.500, 0.500, 0.827)
Sb (0.000, 0.500, 0.334)
Sb (0.000, 0.500, 0.666)
Sb (0.500, 0.000, 0.166)
Sb (0.500, 0.000, 0.834)
Pb (0.000, 0.500, 0.000)
Pb (0.500, 0.000, 0.500)

---

# 4
Structure and simulated powder diffraction line list of InSn4S6 (a cell relaxed with PBE; Cu Kα, 1.54184 Å).
No peak broadening, texture or thermal motion is included.

Top 10 peaks for 10° ≤ 2θ ≤ 80°, by angle:
20.7 deg, I = 56
21.7 deg, I = 80
22.4 deg, I = 44
24.6 deg, I = 100
25.4 deg, I = 59
27.8 deg, I = 45
30.1 deg, I = 74
31.8 deg, I = 44
38.7 deg, I = 46
42.1 deg, I = 57

Atomic structure:
a = 8.805 Å, b = 8.805 Å, c = 12.900 Å
α = 116.35°, β = 116.35°, γ = 48.55°
Sites, in units of the cell vectors:
In (0.234, 0.766, 0.500)
In (0.766, 0.234, 0.000)
Sn (0.122, 0.389, 0.232)
Sn (0.130, 0.782, 0.760)
Sn (0.362, 0.784, 0.109)
Sn (0.389, 0.122, 0.732)
Sn (0.667, 0.858, 0.463)
Sn (0.782, 0.130, 0.260)
Sn (0.784, 0.362, 0.609)
Sn (0.858, 0.667, 0.963)
S (0.026, 0.483, 0.773)
S (0.052, 0.113, 0.469)
S (0.070, 0.591, 0.450)
S (0.102, 0.764, 0.143)
S (0.113, 0.052, 0.969)
S (0.380, 0.816, 0.720)
S (0.483, 0.026, 0.273)
S (0.533, 0.558, 0.930)
S (0.558, 0.533, 0.430)
S (0.591, 0.070, 0.950)
S (0.764, 0.102, 0.643)
S (0.816, 0.380, 0.220)

---

# 5
Structure and simulated powder diffraction line list of RbAg3 (a cell relaxed with PBE; Cu Kα, 1.54184 Å).
No peak broadening, texture or thermal motion is included.

Top 10 peaks for 10° ≤ 2θ ≤ 80°, by angle:
14.2 deg, I = 100
28.7 deg, I = 69
32.1 deg, I = 14
37.2 deg, I = 89
40.0 deg, I = 31
40.1 deg, I = 17
47.5 deg, I = 28
47.6 deg, I = 25
47.7 deg, I = 23
67.0 deg, I = 20

Atomic structure:
a = 8.378 Å, b = 4.838 Å, c = 6.832 Å
α = 90.00°, β = 114.42°, γ = 90.00°
Sites, in units of the cell vectors:
Rb (0.000, 0.000, 0.000)
Rb (0.500, 0.500, 0.000)
Ag (0.000, 0.500, 0.500)
Ag (0.183, 0.000, 0.550)
Ag (0.317, 0.500, 0.450)
Ag (0.500, 0.000, 0.500)
Ag (0.683, 0.500, 0.550)
Ag (0.817, 0.000, 0.450)

---

# 6
Structure and simulated powder diffraction line list of CsLiTl2I4 (a cell relaxed with PBE; Cu Kα, 1.54184 Å).
No peak broadening, texture or thermal motion is included.

Top 10 peaks for 10° ≤ 2θ ≤ 80°, by angle:
18.5 deg, I = 36
22.9 deg, I = 52
23.9 deg, I = 47
24.5 deg, I = 100
26.1 deg, I = 73
31.9 deg, I = 80
35.3 deg, I = 38
35.6 deg, I = 38
36.4 deg, I = 40
53.3 deg, I = 30

Atomic structure:
a = 8.836 Å, b = 8.836 Å, c = 17.445 Å
α = 90.00°, β = 90.00°, γ = 147.59°
Sites, in units of the cell vectors:
Cs (0.105, 0.895, 0.750)
Cs (0.895, 0.105, 0.250)
Li (0.167, 0.833, 0.250)
Li (0.833, 0.167, 0.750)
Tl (0.367, 0.633, 0.550)
Tl (0.367, 0.633, 0.950)
Tl (0.633, 0.367, 0.050)
Tl (0.633, 0.367, 0.450)
I (0.000, 0.000, 0.000)
I (0.000, 0.000, 0.500)
I (0.267, 0.733, 0.126)
I (0.267, 0.733, 0.374)
I (0.421, 0.579, 0.750)
I (0.579, 0.421, 0.250)
I (0.733, 0.267, 0.626)
I (0.733, 0.267, 0.874)